For KEuHfSnO6, a structure optimized by DFT (PBE) gives the computed powder diffractogram in this record (a wavelength of 1.5418 Å).

Unit cell a=8.228 b=8.228 c=8.228 alpha=90.00 beta=90.00 gamma=90.00
Space group F-43m (No. 216)
Asymmetric unit:
K 0.000 0.000 0.000 (multiplicity 4)
Eu 0.000 0.000 0.500 (multiplicity 4)
Hf 0.250 0.250 0.250 (multiplicity 4)
Sn 0.250 0.250 0.750 (multiplicity 4)
O 0.000 0.250 0.250 (multiplicity 24)

Principal peaks in the range 2θ = 10–80°, by angle:
2θ = 18.7°, intensity 159, hkl 1 1 1
2θ = 21.6°, intensity 110, hkl 2 0 0
2θ = 30.7°, intensity 1000, hkl 2 2 0
2θ = 36.2°, intensity 97, hkl 3 1 1
2θ = 44.0°, intensity 305, hkl 4 0 0
2θ = 48.2°, intensity 44, hkl 3 3 1
2θ = 49.5°, intensity 49, hkl 4 2 0
2θ = 54.6°, intensity 406, hkl 4 2 2
2θ = 64.0°, intensity 190, hkl 4 4 0
2θ = 72.7°, intensity 178, hkl 6 2 0